Simulated XRD peak list
Compound: TiRu
Radiation: copper Kα
Structure: a PBE-relaxed structure
No peak broadening, texture or thermal motion is included.

Most intense lines, 15° ≤ 2θ ≤ 90°, by angle:
- 2θ 28.98, d = 3.081 Å, I 18.2, hkl 1 0 0
- 2θ 41.45, d = 2.179 Å, I 100.0, hkl 1 1 0
- 2θ 51.37, d = 1.779 Å, I 5.2, hkl 1 1 1
- 2θ 60.06, d = 1.540 Å, I 15.9, hkl 2 0 0
- 2θ 68.05, d = 1.378 Å, I 6.9, hkl 2 1 0
- 2θ 75.60, d = 1.258 Å, I 31.3, hkl 2 1 1

Structural model:
Cell lengths 3.081, 3.081, 3.081 Å; angles 90.00, 90.00, 90.00 degrees
Space group Pm-3m (No. 221)
Symmetry-distinct sites (fractional):
1 Ti 0.000 0.000 0.000 x1
2 Ru 0.500 0.500 0.500 x1